(1)
The following is a simulated powder X-ray diffraction pattern of Li2VCr3O8. It was derived from DFT lattice parameters and positions (PBE+U), using Cu Ka.
Lines closer than 0.1° are merged.

Main lines, low angle first (10 to 90 degrees two-theta):
2theta	I_rel
17.96	100.0
35.24	10.4
35.38	10.2
35.72	11.9
42.27	19.6
42.46	19.2
43.75	17.9
47.33	5.3
62.47	13.4
62.60	5.2

Atomic structure:
Cell lengths 5.272, 7.797, 7.840 Å; angles 95.08, 94.65, 108.92 degrees
Fractional positions:
Li  0.000  0.000  0.000
Li  0.228  0.222  0.758
Li  0.491  0.505  0.534
Li  0.758  0.765  0.274
V  0.198  0.675  0.067
V  0.907  0.419  0.319
Cr  0.030  0.564  0.693
Cr  0.283  0.811  0.445
Cr  0.436  0.926  0.818
Cr  0.525  0.058  0.196
Cr  0.682  0.175  0.573
Cr  0.773  0.312  0.944
O  0.055  0.356  0.523
O  0.063  0.771  0.877
O  0.152  0.883  0.214
O  0.157  0.475  0.913
O  0.290  0.592  0.277
O  0.317  0.025  0.615
O  0.395  0.711  0.649
O  0.411  0.139  0.974
O  0.541  0.833  0.048
O  0.567  0.286  0.360
O  0.646  0.963  0.399
O  0.662  0.391  0.725
O  0.810  0.101  0.795
O  0.823  0.532  0.125
O  0.900  0.633  0.466
O  0.904  0.224  0.163

=====

(2)
The following is a simulated powder X-ray diffraction pattern of Li5V5Cr2O12. It was derived from DFT lattice parameters and positions (PBE+U), using Cu Ka.
Lines closer than 0.1° are merged.

Main lines, low angle first (10 to 90 degrees two-theta):
2theta	I_rel
18.01	43.2
19.57	21.9
23.36	29.3
36.63	16.7
42.05	100.0
43.13	47.0
60.67	13.3
61.30	13.4
61.70	26.7
61.94	25.4

Atomic structure:
Cell lengths 5.229, 5.229, 10.054 Å; angles 95.72, 95.72, 120.37 degrees
Fractional positions:
Li  0.000  0.000  0.000
Li  0.084  0.412  0.231
Li  0.240  0.234  0.770
Li  0.588  0.916  0.769
Li  0.766  0.760  0.230
V  0.336  0.664  0.000
V  0.412  0.090  0.245
V  0.493  0.507  0.500
V  0.829  0.171  0.500
V  0.910  0.588  0.755
Cr  0.161  0.839  0.500
Cr  0.666  0.334  0.000
O  0.047  0.695  0.119
O  0.124  0.123  0.386
O  0.197  0.553  0.612
O  0.305  0.953  0.881
O  0.395  0.385  0.118
O  0.447  0.803  0.388
O  0.536  0.213  0.610
O  0.615  0.605  0.882
O  0.693  0.048  0.119
O  0.787  0.464  0.390
O  0.877  0.876  0.614
O  0.952  0.307  0.881

=====

(3)
The following is a simulated powder X-ray diffraction pattern of Li4V3Cr2O10. It was derived from DFT lattice parameters and positions (PBE+U), using Cu Ka.
Lines closer than 0.1° are merged.

Main lines, low angle first (10 to 90 degrees two-theta):
2theta	I_rel
12.31	42.0
18.20	100.0
22.53	19.0
26.38	27.2
29.74	15.8
35.39	20.8
42.16	44.5
43.06	43.9
43.22	44.2
78.56	15.0

Atomic structure:
Cell lengths 5.156, 5.170, 7.893 Å; angles 71.53, 71.49, 79.64 degrees
Fractional positions:
Li  0.000  0.000  0.000
Li  0.003  0.584  0.850
Li  0.466  0.305  0.924
Li  0.984  0.195  0.645
V  0.000  0.815  0.408
V  0.502  0.130  0.295
V  0.502  0.502  0.523
Cr  0.498  0.910  0.719
Cr  0.503  0.710  0.103
O  0.262  0.030  0.178
O  0.269  0.881  0.541
O  0.274  0.265  0.746
O  0.280  0.477  0.358
O  0.280  0.683  0.950
O  0.707  0.341  0.083
O  0.723  0.783  0.272
O  0.724  0.138  0.466
O  0.733  0.937  0.869
O  0.754  0.583  0.639

=====

(4)
The following is a simulated powder X-ray diffraction pattern of LiV3CrO8. It was derived from DFT lattice parameters and positions (PBE+U), using Cu Ka.
Lines closer than 0.1° are merged.

Main lines, low angle first (10 to 90 degrees two-theta):
2theta	I_rel
17.49	100.0
34.69	8.0
34.89	9.4
36.83	11.4
40.57	17.1
41.70	16.5
45.14	13.0
52.81	6.1
54.51	5.1
61.17	4.8

Atomic structure:
Cell lengths 5.507, 6.064, 10.207 Å; angles 97.43, 102.14, 107.90 degrees
Fractional positions:
Li  0.000  0.000  0.000
Li  0.498  0.754  0.499
V  0.104  0.374  0.636
V  0.388  0.754  0.883
V  0.415  0.253  0.872
V  0.616  0.611  0.136
V  0.619  0.125  0.141
V  0.928  0.007  0.378
Cr  0.120  0.872  0.636
Cr  0.888  0.500  0.383
O  0.136  0.410  0.822
O  0.144  0.931  0.838
O  0.151  0.340  0.450
O  0.153  0.830  0.441
O  0.368  0.279  0.068
O  0.368  0.788  0.068
O  0.383  0.707  0.694
O  0.390  0.210  0.693
O  0.634  0.676  0.324
O  0.638  0.156  0.321
O  0.646  0.593  0.951
O  0.654  0.079  0.946
O  0.866  0.033  0.561
O  0.868  0.450  0.183
O  0.872  0.541  0.578
O  0.890  0.956  0.188

=====

(5)
The following is a simulated powder X-ray diffraction pattern of Li3VCr3O8. It was derived from DFT lattice parameters and positions (PBE+U), using Cu Ka.
Lines closer than 0.1° are merged.

Main lines, low angle first (10 to 90 degrees two-theta):
2theta	I_rel
18.13	100.0
35.27	12.1
35.45	11.7
35.56	12.2
42.69	23.6
42.89	23.0
43.23	22.6
47.07	6.7
62.30	11.4
62.43	12.6

Atomic structure:
Cell lengths 5.198, 7.842, 7.864 Å; angles 94.50, 109.09, 95.96 degrees
Fractional positions:
Li  0.000  0.000  0.000
Li  0.115  0.391  0.118
Li  0.374  0.134  0.370
Li  0.492  0.515  0.482
Li  0.614  0.885  0.608
Li  0.859  0.614  0.857
V  0.171  0.073  0.677
V  0.426  0.816  0.934
Cr  0.063  0.696  0.550
Cr  0.310  0.443  0.796
Cr  0.567  0.196  0.049
Cr  0.683  0.573  0.179
Cr  0.809  0.945  0.303
Cr  0.922  0.321  0.427
O  0.047  0.856  0.770
O  0.059  0.532  0.339
O  0.184  0.221  0.885
O  0.199  0.928  0.479
O  0.295  0.607  0.004
O  0.297  0.282  0.582
O  0.429  0.981  0.138
O  0.446  0.664  0.714
O  0.541  0.353  0.261
O  0.552  0.018  0.839
O  0.690  0.417  0.967
O  0.690  0.730  0.397
O  0.799  0.099  0.516
O  0.799  0.791  0.082
O  0.931  0.486  0.639
O  0.942  0.162  0.212

=====

(6)
The following is a simulated powder X-ray diffraction pattern of LiVCrO4. It was derived from DFT lattice parameters and positions (PBE+U), using Cu Ka.
Lines closer than 0.1° are merged.

Main lines, low angle first (10 to 90 degrees two-theta):
2theta	I_rel
18.01	100.0
35.05	20.9
36.24	11.6
42.02	41.0
44.52	17.1
55.31	10.0
61.81	5.8
62.74	8.1
62.95	5.2
64.94	7.0

Atomic structure:
Cell lengths 5.279, 5.906, 7.750 Å; angles 98.24, 108.41, 92.52 degrees
Fractional positions:
Li  0.000  0.000  0.000
Li  0.327  0.350  0.329
Li  0.666  0.665  0.663
V  0.191  0.924  0.660
V  0.517  0.264  0.990
V  0.804  0.080  0.339
Cr  0.145  0.420  0.670
Cr  0.483  0.757  0.003
Cr  0.844  0.585  0.326
O  0.099  0.721  0.815
O  0.138  0.186  0.835
O  0.198  0.139  0.505
O  0.227  0.632  0.509
O  0.440  0.053  0.156
O  0.464  0.522  0.161
O  0.539  0.474  0.839
O  0.559  0.967  0.835
O  0.770  0.374  0.491
O  0.791  0.868  0.492
O  0.860  0.821  0.166
O  0.890  0.285  0.177

=====

(7)
The following is a simulated powder X-ray diffraction pattern of Li3V3CrO8. It was derived from DFT lattice parameters and positions (PBE+U), using Cu Ka.
Lines closer than 0.1° are merged.

Main lines, low angle first (10 to 90 degrees two-theta):
2theta	I_rel
14.21	98.9
14.94	76.2
22.99	100.0
28.64	58.3
29.39	39.6
31.77	41.0
43.56	56.4
43.87	67.3
44.27	73.2
64.09	35.4

Atomic structure:
Cell lengths 6.523, 6.523, 6.509 Å; angles 105.87, 105.87, 36.56 degrees
Fractional positions:
Li  0.000  0.000  0.000
Li  0.119  0.119  0.724
Li  0.244  0.244  0.366
V  0.352  0.352  0.056
V  0.457  0.457  0.649
V  0.667  0.667  0.065
Cr  0.780  0.780  0.677
O  0.178  0.178  0.052
O  0.293  0.293  0.695
O  0.404  0.404  0.352
O  0.507  0.507  0.998
O  0.627  0.627  0.731
O  0.716  0.716  0.353
O  0.827  0.827  0.003
O  0.943  0.943  0.684

=====

(8)
The following is a simulated powder X-ray diffraction pattern of Li3V3CrO8. It was derived from DFT lattice parameters and positions (PBE+U), using Cu Ka.
Lines closer than 0.1° are merged.

Main lines, low angle first (10 to 90 degrees two-theta):
2theta	I_rel
18.06	100.0
35.12	12.0
35.33	12.3
35.44	11.8
36.89	7.8
42.46	24.7
42.87	23.9
42.98	23.3
56.58	9.1
62.10	12.5

Atomic structure:
Cell lengths 5.224, 5.981, 10.709 Å; angles 105.99, 94.68, 107.15 degrees
Fractional positions:
Li  0.000  0.000  0.000
Li  0.001  0.128  0.753
Li  0.007  0.749  0.507
Li  0.009  0.270  0.503
Li  0.012  0.868  0.257
Li  0.014  0.517  0.015
V  0.484  0.064  0.880
V  0.499  0.574  0.880
V  0.502  0.326  0.376
V  0.507  0.454  0.134
V  0.517  0.206  0.637
V  0.533  0.962  0.137
Cr  0.502  0.826  0.384
Cr  0.506  0.698  0.632
O  0.269  0.297  0.944
O  0.283  0.928  0.685
O  0.286  0.802  0.957
O  0.288  0.057  0.450
O  0.290  0.413  0.688
O  0.291  0.177  0.205
O  0.291  0.550  0.449
O  0.299  0.687  0.197
O  0.714  0.852  0.818
O  0.715  0.463  0.556
O  0.719  0.335  0.807
O  0.724  0.227  0.062
O  0.724  0.609  0.326
O  0.727  0.103  0.327
O  0.729  0.978  0.571
O  0.743  0.721  0.066

=====

(9)
The following is a simulated powder X-ray diffraction pattern of Li4V3CrO8. It was derived from DFT lattice parameters and positions (PBE+U), using Cu Ka.
Lines closer than 0.1° are merged.

Main lines, low angle first (10 to 90 degrees two-theta):
2theta	I_rel
18.17	100.0
35.19	40.8
36.81	13.4
42.76	87.7
46.82	12.9
56.54	15.6
62.07	47.2
65.25	13.9
74.40	7.5
78.31	14.0

Atomic structure:
Cell lengths 5.981, 5.981, 5.178 Å; angles 106.75, 106.75, 60.02 degrees
Fractional positions:
Li  0.244  0.756  0.000
Li  0.247  0.247  0.997
Li  0.753  0.753  0.003
Li  0.756  0.244  0.000
V  0.000  0.500  0.500
V  0.500  0.000  0.500
V  0.500  0.500  0.500
Cr  0.000  0.000  0.500
O  0.127  0.127  0.272
O  0.127  0.632  0.272
O  0.368  0.873  0.728
O  0.371  0.371  0.728
O  0.629  0.629  0.272
O  0.632  0.127  0.272
O  0.873  0.368  0.728
O  0.873  0.873  0.728

=====

(10)
The following is a simulated powder X-ray diffraction pattern of Li2VCr3O8. It was derived from DFT lattice parameters and positions (PBE+U), using Cu Ka.
Lines closer than 0.1° are merged.

Main lines, low angle first (10 to 90 degrees two-theta):
2theta	I_rel
18.96	53.4
19.72	100.0
25.75	27.2
33.61	35.0
35.86	44.5
36.29	50.8
40.06	41.7
45.77	58.8
61.27	40.7
62.68	39.2

Atomic structure:
Cell lengths 5.928, 5.928, 9.363 Å; angles 90.00, 90.00, 120.00 degrees
Fractional positions:
Li  0.000  0.000  0.000
Li  0.000  0.000  0.500
Li  0.333  0.667  0.405
Li  0.667  0.333  0.905
V  0.333  0.667  0.000
V  0.667  0.333  0.500
Cr  0.171  0.343  0.721
Cr  0.171  0.829  0.721
Cr  0.343  0.171  0.221
Cr  0.657  0.829  0.721
Cr  0.829  0.171  0.221
Cr  0.829  0.657  0.221
O  0.000  0.000  0.312
O  0.000  0.000  0.812
O  0.045  0.523  0.851
O  0.174  0.349  0.097
O  0.174  0.826  0.097
O  0.333  0.667  0.611
O  0.349  0.174  0.597
O  0.477  0.523  0.851
O  0.477  0.955  0.851
O  0.523  0.045  0.351
O  0.523  0.477  0.351
O  0.651  0.826  0.097
O  0.667  0.333  0.111
O  0.826  0.174  0.597
O  0.826  0.651  0.597
O  0.955  0.477  0.351